Record 1
# Pm4ZrTe5
Computed XRD peak list, Cu Kα. Input: the GGA-PBE geometry in Alexandria.
Kinematic intensities with the Lorentz-polarization factor, no thermal factor.

Unit cell a=18.1740 b=18.1740 c=18.1740 alpha=13.91 beta=13.91 gamma=13.91
Atoms (fractional coordinates):
Pm  0.1040  0.1040  0.1040
Pm  0.2990  0.2990  0.2990
Pm  0.7010  0.7010  0.7010
Pm  0.8960  0.8960  0.8960
Zr  0.5000  0.5000  0.5000
Te  0.0000  0.0000  0.0000
Te  0.1954  0.1954  0.1954
Te  0.4026  0.4026  0.4026
Te  0.5974  0.5974  0.5974
Te  0.8046  0.8046  0.8046

Main lines, in order of rising 2θ (2θ from 10° to 90°):
| 2theta | intensity |
| --- | --- |
| 28.7 | 1000 |
| 36.8 | 38 |
| 41.0 | 732 |
| 50.8 | 253 |
| 59.4 | 113 |
| 62.8 | 41 |
| 67.2 | 302 |
| 74.7 | 150 |
| 74.7 | 66 |
| 89.0 | 63 |

=====

Record 2
# KRb2I6Cl
Computed XRD peak list, Cu Kα. Input: the GGA-PBE geometry in Alexandria.
Kinematic intensities with the Lorentz-polarization factor, no thermal factor.

Unit cell a=8.8876 b=8.8876 c=8.8876 alpha=116.99 beta=116.99 gamma=95.30
Atoms (fractional coordinates):
K  0.0000  0.0000  0.0000
Rb  0.2500  0.7500  0.5000
Rb  0.7500  0.2500  0.5000
I  0.2522  0.2522  0.5045
I  0.2522  0.7478  0.0000
I  0.2797  0.2797  0.0000
I  0.7203  0.7203  0.0000
I  0.7478  0.2522  0.0000
I  0.7478  0.7478  0.4955
Cl  0.5000  0.5000  0.0000

Main lines, in order of rising 2θ (2θ from 10° to 90°):
| 2theta | intensity |
| --- | --- |
| 24.3 | 1000 |
| 27.2 | 539 |
| 29.8 | 184 |
| 38.8 | 221 |
| 40.8 | 309 |
| 46.3 | 349 |
| 49.7 | 272 |
| 64.8 | 167 |
| 71.6 | 117 |
| 75.5 | 126 |

=====

Record 3
# Pm5PrTm12
Computed XRD peak list, Cu Kα. Input: the GGA-PBE geometry in Alexandria.
Kinematic intensities with the Lorentz-polarization factor, no thermal factor.

Unit cell a=10.6200 b=10.6200 c=6.1360 alpha=106.56 beta=106.56 gamma=59.93
Atoms (fractional coordinates):
Pm  0.0000  0.0000  0.0000
Pm  0.1667  0.1667  0.4996
Pm  0.3329  0.3329  0.9993
Pm  0.6671  0.6671  0.0007
Pm  0.8333  0.8333  0.5004
Pr  0.5000  0.5000  0.5000
Tm  0.0014  0.6652  0.0003
Tm  0.1644  0.5015  0.4997
Tm  0.1676  0.8324  0.5000
Tm  0.3312  0.6688  0.0000
Tm  0.3348  0.9986  0.9997
Tm  0.4985  0.8356  0.5003
Tm  0.5015  0.1644  0.4997
Tm  0.6652  0.0014  0.0003
Tm  0.6688  0.3312  0.0000
Tm  0.8324  0.1676  0.5000
Tm  0.8356  0.4985  0.5003
Tm  0.9986  0.3348  0.9997

Main lines, in order of rising 2θ (2θ from 10° to 90°):
| 2theta | intensity |
| --- | --- |
| 30.9 | 993 |
| 31.0 | 983 |
| 35.9 | 1000 |
| 51.6 | 592 |
| 61.3 | 284 |
| 61.5 | 562 |
| 64.3 | 123 |
| 64.6 | 121 |
| 84.4 | 176 |
| 87.1 | 165 |

=====

Record 4
# YGa5Ag7
Computed XRD peak list, Cu Kα. Input: the GGA-PBE geometry in Alexandria.
Kinematic intensities with the Lorentz-polarization factor, no thermal factor.

Unit cell a=7.1410 b=7.1410 c=7.1410 alpha=135.39 beta=97.74 gamma=98.82
Atoms (fractional coordinates):
Y  0.0000  0.0000  0.0000
Ga  0.0002  0.4984  0.0044
Ga  0.0002  0.9958  0.5018
Ga  0.4940  0.4984  0.4982
Ga  0.4940  0.9958  0.9956
Ga  0.7829  0.2829  0.5000
Ag  0.2054  0.4953  0.7101
Ag  0.2175  0.7175  0.5000
Ag  0.3487  0.0022  0.3465
Ag  0.3491  0.3491  0.0000
Ag  0.6557  0.0022  0.6535
Ag  0.6604  0.6604  0.0000
Ag  0.7851  0.4953  0.2899

Main lines, in order of rising 2θ (2θ from 10° to 90°):
| 2theta | intensity |
| --- | --- |
| 33.0 | 623 |
| 33.3 | 237 |
| 38.3 | 483 |
| 38.4 | 817 |
| 38.6 | 496 |
| 38.8 | 275 |
| 43.2 | 1000 |
| 43.5 | 335 |
| 69.3 | 247 |
| 70.0 | 275 |